The following is a theoretical X-ray diffraction stick pattern of RbAg6Sb2. It was derived from the PBE geometry in Alexandria, using copper Kα.
Kinematic intensities with the Lorentz-polarization factor, no thermal factor.

Most intense lines, 10° ≤ 2θ ≤ 80°, in order of rising 2θ:
- 26.00°, I 280, hkl 1 0 2
- 32.11°, I 336, hkl 1 1 2
- 33.17°, I 217, hkl 1 0 3
- 37.53°, I 804, hkl 2 0 0
- 38.25°, I 1000, hkl 1 1 3
- 45.67°, I 251, hkl 1 1 4
- 50.95°, I 126, hkl 2 1 3
- 54.12°, I 267, hkl 2 2 0
- 68.20°, I 338, hkl 3 1 3
- 69.63°, I 212, hkl 2 0 6

Atomic structure:
Cell lengths 4.7927, 4.7927, 9.8072 Å; angles 90.00, 90.00, 90.00 degrees
Fractional positions:
1 Rb 0.0000 0.0000 0.0000
2 Ag 0.0000 0.0000 0.5000
3 Ag 0.0000 0.5000 0.3329
4 Ag 0.0000 0.5000 0.6671
5 Ag 0.5000 0.0000 0.3329
6 Ag 0.5000 0.0000 0.6671
7 Ag 0.5000 0.5000 0.5000
8 Sb 0.5000 0.5000 0.1871
9 Sb 0.5000 0.5000 0.8129